No. 1
The following is a theoretical X-ray powder pattern of Th2Ni3Pt. It was derived from the GGA-PBE geometry in Alexandria, using CuKα.
Neutral-atom scattering factors, no anomalous dispersion.

Structure:
a = 7.5475 Å, b = 8.9950 Å, c = 13.7902 Å
α = 90.00°, β = 90.00°, γ = 90.00°
Space group Fmmm (No. 69)
Unique sites:
Th1 0.2458 0.0000 0.0000 [8 per cell]
Th2 0.2500 0.2500 0.2500 [8 per cell]
Ni1 0.0000 0.0000 0.1530 [8 per cell]
Ni2 0.0000 0.2421 0.0868 [16 per cell]
Pt1 0.0000 0.0000 0.3365 [8 per cell]

Principal peaks in the range 10° ≤ 2θ ≤ 90°, by angle:
hkl 0 2 2, 23.62°, 3.767 Å, rel. 24; hkl 2 2 2, 33.62°, 2.666 Å, rel. 100; hkl 2 0 4, 35.26°, 2.545 Å, rel. 53; hkl 0 4 0, 40.10°, 2.249 Å, rel. 28; hkl 0 2 6, 44.26°, 2.047 Å, rel. 42; hkl 2 4 4, 54.44°, 1.686 Å, rel. 36

No. 2
The following is a theoretical X-ray powder pattern of Pr2Zn2Ag. It was derived from the GGA-PBE geometry in Alexandria, using CuKα.
Neutral-atom scattering factors, no anomalous dispersion.

Structure:
a = 10.4915 Å, b = 4.7149 Å, c = 11.0069 Å
α = 90.00°, β = 115.93°, γ = 90.00°
Space group C2/m (No. 12)
Unique sites:
Pr1 0.0177 0.0000 0.3330 [4 per cell]
Pr2 0.1969 0.0000 0.1080 [4 per cell]
Zn1 0.0105 0.5000 0.8884 [4 per cell]
Zn2 0.1377 0.5000 0.5658 [4 per cell]
Ag1 0.2269 0.5000 0.3479 [4 per cell]

Principal peaks in the range 10° ≤ 2θ ≤ 90°, by angle:
hkl 1 1 2, 30.41°, 2.939 Å, rel. 85; hkl 1 1 -3, 30.97°, 2.887 Å, rel. 89; hkl 3 1 -2, 32.37°, 2.766 Å, rel. 81; hkl 3 1 -3, 35.18°, 2.551 Å, rel. 46; hkl 0 2 0, 38.17°, 2.358 Å, rel. 100; hkl 3 1 1, 38.66°, 2.329 Å, rel. 85